Starting from a crystal structure in Alexandria, relaxed with PBE, the X-ray powder pattern of TlIr4 was simulated for Cu Kα.
No peak broadening, texture or thermal motion is included.

The 10 most intense peaks (10° ≤ 2θ ≤ 80°), by intensity:
| two_theta | I_rel | (hkl) |
| --- | --- | --- |
| 36.90 | 100.0 | 1 1 2 |
| 43.28 | 45.5 | 1 0 5 |
| 48.76 | 44.4 | 2 0 0 |
| 32.05 | 33.0 | 1 0 3 |
| 44.76 | 30.2 | 1 1 4 |
| 67.22 | 25.0 | 2 1 5 |
| 71.44 | 14.4 | 2 2 0 |
| 79.56 | 12.4 | 2 0 8 |
| 59.55 | 11.6 | 2 1 3 |
| 67.03 | 8.3 | 2 0 6 |

Crystal structure
a = 3.735 Å, b = 3.735 Å, c = 12.615 Å
α = 90.00°, β = 90.00°, γ = 90.00°
Space group I4/mmm (No. 139)
Asymmetric unit:
Tl 0.000 0.000 0.000 (multiplicity 2)
Ir 0.000 0.000 0.398 (multiplicity 4)
Ir 0.000 0.500 0.250 (multiplicity 4)

Starting from a crystal structure in Alexandria, relaxed with PBE, the X-ray powder pattern of TlIr was simulated for Cu Kα.
No peak broadening, texture or thermal motion is included.

The 10 most intense peaks (10° ≤ 2θ ≤ 80°), by intensity:
| two_theta | I_rel | (hkl) |
| --- | --- | --- |
| 38.11 | 100.0 | 2 0 2 |
| 40.15 | 79.3 | 1 1 -2 |
| 36.87 | 60.2 | 3 1 -1 |
| 40.53 | 30.8 | 4 0 -3 |
| 39.42 | 24.8 | 4 0 1 |
| 42.10 | 22.8 | 6 0 -1 |
| 38.89 | 21.0 | 2 0 -3 |
| 46.43 | 19.7 | 5 1 -1 |
| 31.33 | 19.6 | 4 0 -2 |
| 72.10 | 18.7 | 7 1 1 |

Crystal structure
a = 13.017 Å, b = 2.975 Å, c = 6.978 Å
α = 90.00°, β = 116.25°, γ = 90.00°
Space group Cm (No. 8)
Asymmetric unit:
Tl 0.000 0.000 0.000 (multiplicity 2)
Tl 0.052 0.000 0.552 (multiplicity 2)
Tl 0.280 0.000 0.121 (multiplicity 2)
Ir 0.171 0.500 0.335 (multiplicity 2)
Ir 0.267 0.500 0.770 (multiplicity 2)
Ir 0.364 0.000 0.574 (multiplicity 2)

Starting from a crystal structure in Alexandria, relaxed with PBE, the X-ray powder pattern of Tm8Tl2Ir3 was simulated for Cu Kα.
No peak broadening, texture or thermal motion is included.

The 10 most intense peaks (10° ≤ 2θ ≤ 80°), by intensity:
| two_theta | I_rel | (hkl) |
| --- | --- | --- |
| 36.01 | 100.0 | 2 4 1 |
| 36.93 | 49.8 | 0 0 2 |
| 22.01 | 23.8 | 0 2 1 |
| 65.89 | 18.0 | 6 4 1 |
| 53.22 | 17.6 | 4 0 2 |
| 66.00 | 17.4 | 2 4 3 |
| 64.13 | 15.4 | 0 8 2 |
| 12.23 | 9.7 | 0 2 0 |
| 76.37 | 9.4 | 4 8 2 |
| 43.41 | 8.3 | 4 2 1 |

Crystal structure
a = 9.746 Å, b = 14.475 Å, c = 4.863 Å
α = 90.00°, β = 90.00°, γ = 90.00°
Space group Cmmm (No. 65)
Asymmetric unit:
Tm 0.000 0.110 0.000 (multiplicity 4)
Tm 0.000 0.386 0.000 (multiplicity 4)
Tm 0.246 0.388 0.500 (multiplicity 8)
Tl 0.000 0.243 0.500 (multiplicity 4)
Ir 0.000 0.500 0.500 (multiplicity 2)
Ir 0.248 0.000 0.000 (multiplicity 4)